The following is a simulated X-ray diffraction stick pattern of BeTe. It was derived from the PBE geometry in the Materials Project, using Cu Kα.

The 10 most intense peaks (2θ = 15–90°), low angle first:
25.74°, I 28; 27.07°, I 29; 29.15°, I 100; 37.70°, I 18; 45.38°, I 23; 49.14°, I 27; 53.65°, I 26; 54.85°, I 17; 73.86°, I 14; 86.62°, I 11

Crystal structure
```
BeTe
1.0
3.997 0.000 0.000
-1.998 3.461 0.000
0.000 0.000 6.587
Be Te
2 2
Cartesian
0.000 2.307 0.000 Be
1.998 1.154 3.293 Be
0.000 2.307 2.464 Te
1.998 1.154 5.758 Te
```

The following is a simulated X-ray diffraction stick pattern of Mg14CuC. It was derived from the PBE geometry in the Materials Project, using Cu Kα.

The 10 most intense peaks (2θ = 15–90°), low angle first:
18.27°, I 11; 19.04°, I 17; 31.45°, I 17; 33.29°, I 28; 37.03°, I 100; 38.64°, I 41; 44.23°, I 11; 47.53°, I 11; 54.81°, I 11; 69.06°, I 13

Crystal structure
```
Mg14CuC
1.0
9.315 0.000 0.000
0.000 3.350 5.385
0.000 -3.350 5.385
Mg Cu C
14 1 1
Cartesian
0.000 0.000 0.000 Mg
0.000 -1.669 2.826 Mg
0.000 0.000 5.360 Mg
0.000 1.669 2.826 Mg
2.313 0.000 1.949 Mg
2.322 0.000 7.286 Mg
2.979 -1.857 4.712 Mg
2.979 1.857 4.712 Mg
4.657 -1.756 7.481 Mg
4.657 1.756 7.481 Mg
6.336 -1.857 4.712 Mg
6.336 1.857 4.712 Mg
6.993 0.000 7.286 Mg
7.002 0.000 1.949 Mg
4.657 0.000 5.497 Cu
4.657 0.000 0.481 C
```